The following is a calculated X-ray diffraction stick pattern of Pm2SnPd3Au12. It was derived from the PBE geometry in Alexandria, using a wavelength of 1.5418 Å.
Peak positions follow from Bragg's law for the DFT cell and can differ from measured ones.

Top 10 peaks for 2θ from 10° to 90°, by intensity:
| Position (°2θ) | Rel. int. | h k l |
| --- | --- | --- |
| 29.9 | 100 | 0 2 4 |
| 41.0 | 89 | 2 2 0 |
| 44.5 | 59 | 2 0 8 |
| 77.1 | 22 | 4 2 8 |
| 62.0 | 21 | 0 4 8 |
| 51.5 | 21 | 4 0 4 |
| 67.8 | 19 | 2 4 4 |
| 39.0 | 14 | 1 2 5 |
| 74.6 | 14 | 6 0 0 |
| 20.2 | 12 | 1 1 0 |

Crystal structure
a b c (Å): 8.8103 8.8103 19.2865
angles (deg): 90.00 90.00 120.00
Space group R-3m (No. 166, hexagonal axes)
Inequivalent atoms, fractional coordinates:
Pm (0.0000, 0.0000, 0.1063) x6
Sn (0.0000, 0.0000, 0.5000) x3
Pd (0.0000, 0.5000, 0.0000) x9
Au (0.0033, 0.5017, 0.3733) x18
Au (0.0240, 0.5120, 0.8638) x18

=====

The following is a calculated X-ray diffraction stick pattern of CdFeW4. It was derived from the PBE geometry in Alexandria, using a wavelength of 1.5418 Å.
Peak positions follow from Bragg's law for the DFT cell and can differ from measured ones.

Top 10 peaks for 2θ from 10° to 90°, by intensity:
| Position (°2θ) | Rel. int. | h k l |
| --- | --- | --- |
| 40.0 | 100 | 3 1 1 |
| 41.8 | 66 | 2 2 2 |
| 20.6 | 44 | 1 1 1 |
| 64.8 | 32 | 3 3 3 |
| 71.3 | 31 | 4 4 0 |
| 86.3 | 26 | 6 2 2 |
| 48.7 | 19 | 4 0 0 |
| 85.0 | 11 | 5 3 3 |
| 53.4 | 11 | 3 3 1 |
| 33.9 | 10 | 2 2 0 |

Crystal structure
a b c (Å): 7.4804 7.4804 7.4804
angles (deg): 90.00 90.00 90.00
Space group F-43m (No. 216)
Inequivalent atoms, fractional coordinates:
Cd (0.0000, 0.0000, 0.0000) x4
Fe (0.2500, 0.2500, 0.2500) x4
W (0.1252, 0.1252, 0.6252) x16